Record 1
Theoretical XRD peak list of AcCd9Ag2 for Cu Kα, 1.54184 Å, from a structure optimized by DFT (GGA-PBE).
Intensities are scaled so that the largest is 100.

Structure:
```
data_AcCd9Ag2
_chemical_formula_sum 'Ac4 Cd36 Ag8'
_symmetry_space_group_name_H-M 'I 41/a m d'
_symmetry_Int_Tables_number 141
_cell_length_a 11.979
_cell_length_b 11.979
_cell_length_c 7.646
_cell_angle_alpha 90.00
_cell_angle_beta 90.00
_cell_angle_gamma 90.00
loop_
_symmetry_equiv_pos_as_xyz
'x,y,z'
'-x,-y,-z'
'-y+1/4,x+3/4,z+1/4'
'y+1/4,-x+3/4,-z+1/4'
'-x+1/2,-y,z+1/2'
'x+1/2,y,-z+1/2'
'y+1/4,-x+1/4,z+3/4'
'-y+1/4,x+1/4,-z+3/4'
'x,-y,-z'
'-x,y,z'
'-y+1/4,-x+1/4,-z+3/4'
'y+1/4,x+1/4,z+3/4'
'-x+1/2,y,-z+1/2'
'x+1/2,-y,z+1/2'
'y+1/4,x+3/4,-z+1/4'
'-y+1/4,-x+3/4,z+1/4'
'x+1/2,y+1/2,z+1/2'
'-x+1/2,-y+1/2,-z+1/2'
'-y+3/4,x+1/4,z+3/4'
'y+3/4,-x+1/4,-z+3/4'
'-x,-y+1/2,z'
'x,y+1/2,-z'
'y+3/4,-x+3/4,z+1/4'
'-y+3/4,x+3/4,-z+1/4'
'x+1/2,-y+1/2,-z+1/2'
'-x+1/2,y+1/2,z+1/2'
'-y+3/4,-x+3/4,-z+1/4'
'y+3/4,x+3/4,z+1/4'
'-x,y+1/2,-z'
'x,-y+1/2,z'
'y+3/4,x+1/4,-z+3/4'
'-y+3/4,-x+1/4,z+3/4'
loop_
_atom_site_label
_atom_site_type_symbol
_atom_site_fract_x
_atom_site_fract_y
_atom_site_fract_z
_atom_site_occupancy
Ac1 Ac 0.000 0.250 0.375 1
Cd1 Cd 0.000 0.250 0.875 1
Cd2 Cd 0.121 0.048 0.679 1
Ag1 Ag 0.000 0.000 0.000 1
```

Main lines, by intensity (10° ≤ 2θ ≤ 90°):
2theta  I (rel.)
33.30  100
33.45  70
39.41  59
29.31  37
59.70  32
36.03  32

=====

Record 2
Theoretical XRD peak list of Tm5Bi2Pt2 for Cu Kα, 1.54184 Å, from a structure optimized by DFT (GGA-PBE).
Intensities are scaled so that the largest is 100.

Structure:
```
data_Tm5Bi2Pt2
_chemical_formula_sum 'Tm20 Bi8 Pt8'
_symmetry_space_group_name_H-M 'C m c e'
_symmetry_Int_Tables_number 64
_symmetry_space_group_name_Hall '-C 2ac 2'
_cell_length_a 15.320
_cell_length_b 7.998
_cell_length_c 7.720
_cell_angle_alpha 90.00
_cell_angle_beta 90.00
_cell_angle_gamma 90.00
loop_
_atom_site_label
_atom_site_type_symbol
_atom_site_fract_x
_atom_site_fract_y
_atom_site_fract_z
_atom_site_occupancy
Tm1 Tm 0.000 0.000 0.000 1
Tm2 Tm 0.118 0.166 0.340 1
Bi1 Bi 0.210 0.000 0.000 1
Pt1 Pt 0.000 0.134 0.635 1
```

Main lines, by intensity (10° ≤ 2θ ≤ 90°):
2theta  I (rel.)
34.44  100
36.12  78
31.12  76
37.17  69
39.19  60
33.40  52

=====

Record 3
Theoretical XRD peak list of Sr2IrClO4 for Cu Kα, 1.54184 Å, from a structure optimized by DFT (GGA-PBE).
Intensities are scaled so that the largest is 100.

Structure:
```
data_Sr2IrClO4
_chemical_formula_sum 'Sr4 Ir2 Cl2 O8'
_symmetry_space_group_name_H-M 'C 1 2/m 1'
_symmetry_Int_Tables_number 12
_symmetry_space_group_name_Hall '-C 2y'
_cell_length_a 9.379
_cell_length_b 3.404
_cell_length_c 9.411
_cell_angle_alpha 90.00
_cell_angle_beta 111.70
_cell_angle_gamma 90.00
loop_
_atom_site_label
_atom_site_type_symbol
_atom_site_fract_x
_atom_site_fract_y
_atom_site_fract_z
_atom_site_occupancy
Sr1 Sr 0.168 0.000 0.266 1
Ir1 Ir 0.000 0.000 0.500 1
Cl1 Cl 0.000 0.500 0.000 1
O1 O 0.111 0.500 0.458 1
O2 O 0.135 0.000 0.709 1
```

Main lines, by intensity (10° ≤ 2θ ≤ 90°):
2theta  I (rel.)
10.12  100
31.27  37
22.88  31
39.09  28
40.22  25
28.14  24

=====

Record 4
Theoretical XRD peak list of MnTc2Se for Cu Kα, 1.54184 Å, from a structure optimized by DFT (GGA-PBE).
Intensities are scaled so that the largest is 100.

Structure:
```
data_MnTc2Se
_chemical_formula_sum 'Mn1 Tc2 Se1'
_symmetry_space_group_name_H-M 'P 1 2/m 1'
_symmetry_Int_Tables_number 10
_symmetry_space_group_name_Hall '-P 2y'
_cell_length_a 4.404
_cell_length_b 2.952
_cell_length_c 4.943
_cell_angle_alpha 90.00
_cell_angle_beta 113.47
_cell_angle_gamma 90.00
loop_
_atom_site_label
_atom_site_type_symbol
_atom_site_fract_x
_atom_site_fract_y
_atom_site_fract_z
_atom_site_occupancy
Mn1 Mn 0.000 0.000 0.000 1
Tc1 Tc 0.500 0.000 0.500 1
Tc2 Tc 0.500 0.500 0.000 1
Se1 Se 0.000 0.500 0.500 1
```

Main lines, by intensity (10° ≤ 2θ ≤ 90°):
2theta  I (rel.)
38.31  100
47.05  55
39.76  45
44.87  32
46.83  28
64.82  20

=====

Record 5
Theoretical XRD peak list of Dy4Y5Tm for Cu Kα, 1.54184 Å, from a structure optimized by DFT (GGA-PBE).
Intensities are scaled so that the largest is 100.

Structure:
```
data_Dy4Y5Tm
_chemical_formula_sum 'Dy4 Y5 Tm1'
_symmetry_space_group_name_H-M 'P -1'
_symmetry_Int_Tables_number 2
_symmetry_space_group_name_Hall '-P 1'
_cell_length_a 3.565
_cell_length_b 6.777
_cell_length_c 13.871
_cell_angle_alpha 82.55
_cell_angle_beta 89.96
_cell_angle_gamma 75.07
loop_
_atom_site_label
_atom_site_type_symbol
_atom_site_fract_x
_atom_site_fract_y
_atom_site_fract_z
_atom_site_occupancy
Dy1 Dy 0.120 0.296 0.309 1
Dy2 Dy 0.185 0.171 0.708 1
Y1 Y 0.184 0.125 0.086 1
Y2 Y 0.461 0.583 0.117 1
Y3 Y 0.500 0.500 0.500 1
Tm1 Tm 0.000 0.000 0.500 1
```

Main lines, by intensity (10° ≤ 2θ ≤ 90°):
2theta  I (rel.)
32.02  100
32.58  66
31.58  55
32.45  34
29.51  30
59.21  19

=====

Record 6
Theoretical XRD peak list of K2Hg for Cu Kα, 1.54184 Å, from a structure optimized by DFT (GGA-PBE).
Intensities are scaled so that the largest is 100.

Structure:
```
data_K2Hg
_chemical_formula_sum 'K4 Hg2'
_symmetry_space_group_name_H-M 'P n n m'
_symmetry_Int_Tables_number 58
_symmetry_space_group_name_Hall '-P 2 2n'
_cell_length_a 8.244
_cell_length_b 8.488
_cell_length_c 4.618
_cell_angle_alpha 90.00
_cell_angle_beta 90.00
_cell_angle_gamma 90.00
loop_
_atom_site_label
_atom_site_type_symbol
_atom_site_fract_x
_atom_site_fract_y
_atom_site_fract_z
_atom_site_occupancy
K1 K 0.218 0.149 0.000 1
Hg1 Hg 0.000 0.500 0.000 1
```

Main lines, by intensity (10° ≤ 2θ ≤ 90°):
2theta  I (rel.)
14.98  100
30.93  62
22.06  55
30.60  40
30.23  27
21.91  26

=====

Record 7
Theoretical XRD peak list of Ce5Ge2Sb2 for Cu Kα, 1.54184 Å, from a structure optimized by DFT (GGA-PBE).
Intensities are scaled so that the largest is 100.

Structure:
```
data_Ce5Ge2Sb2
_chemical_formula_sum 'Ce20 Ge8 Sb8'
_symmetry_space_group_name_H-M 'C m c e'
_symmetry_Int_Tables_number 64
_symmetry_space_group_name_Hall '-C 2ac 2'
_cell_length_a 15.499
_cell_length_b 8.064
_cell_length_c 8.069
_cell_angle_alpha 90.00
_cell_angle_beta 90.00
_cell_angle_gamma 90.00
loop_
_atom_site_label
_atom_site_type_symbol
_atom_site_fract_x
_atom_site_fract_y
_atom_site_fract_z
_atom_site_occupancy
Ce1 Ce 0.000 0.000 0.000 1
Ce2 Ce 0.130 0.177 0.323 1
Ge1 Ge 0.000 0.121 0.622 1
Sb1 Sb 0.210 0.000 0.000 1
```

Main lines, by intensity (10° ≤ 2θ ≤ 90°):
2theta  I (rel.)
32.03  100
35.67  77
33.96  57
30.21  52
31.37  49
32.89  32

=====

Record 8
Theoretical XRD peak list of Mg7Cd2Hg for Cu Kα, 1.54184 Å, from a structure optimized by DFT (GGA-PBE).
Intensities are scaled so that the largest is 100.

Structure:
```
data_Mg7Cd2Hg
_chemical_formula_sum 'Mg28 Cd8 Hg4'
_symmetry_space_group_name_H-M 'C 1 2/c 1'
_symmetry_Int_Tables_number 15
_symmetry_space_group_name_Hall '-C 2yc'
_cell_length_a 13.728
_cell_length_b 8.340
_cell_length_c 9.888
_cell_angle_alpha 90.00
_cell_angle_beta 128.27
_cell_angle_gamma 90.00
loop_
_atom_site_label
_atom_site_type_symbol
_atom_site_fract_x
_atom_site_fract_y
_atom_site_fract_z
_atom_site_occupancy
Mg1 Mg 0.000 0.135 0.250 1
Mg2 Mg 0.086 0.335 0.075 1
Mg3 Mg 0.138 0.205 0.807 1
Mg4 Mg 0.207 0.359 0.571 1
Cd1 Cd 0.173 0.002 0.090 1
Hg1 Hg 0.000 0.499 0.750 1
```

Main lines, by intensity (10° ≤ 2θ ≤ 90°):
2theta  I (rel.)
21.72  100
27.03  83
37.60  71
33.92  62
21.31  53
26.08  46